Entry 1:
This entry pairs a crystal structure of Pm2Ho2Rh3 with its calculated X-ray diffraction stick pattern. Radiation: Cu Kα, 1.54184 Å. Structure: the PBE geometry in Alexandria.

Atomic structure:
```
data_Pm2Ho2Rh3
_symmetry_space_group_name_H-M 'P 1'
_symmetry_Int_Tables_number 1
_cell_length_a 4.392
_cell_length_b 5.993
_cell_length_c 7.453
_cell_angle_alpha 99.27
_cell_angle_beta 90.09
_cell_angle_gamma 111.49
loop_
_symmetry_equiv_pos_as_xyz
'x,y,z'
loop_
_atom_site_label
_atom_site_fract_x
_atom_site_fract_y
_atom_site_fract_z
Pm1 0.134 0.266 0.356
Pm2 0.866 0.734 0.644
Ho1 0.363 0.725 0.071
Ho2 0.637 0.275 0.929
Rh1 0.000 0.000 0.000
Rh2 0.193 0.389 0.735
Rh3 0.807 0.611 0.265
```

Peak list (8 most intense, 5 to 70 degrees two-theta, by intensity)
d (Å), 2θ (°), I (rel.)
2.751, 32.55, 100
2.160, 41.82, 38
2.832, 31.59, 38
2.196, 41.11, 29
7.339, 12.06, 26
1.735, 52.75, 20
3.471, 25.67, 19
2.391, 37.61, 18

Entry 2:
This entry pairs a crystal structure of PmHoTh2Rh4 with its calculated X-ray diffraction stick pattern. Radiation: Cu Kα, 1.54184 Å. Structure: the PBE geometry in Alexandria.

Atomic structure:
```
data_PmHoTh2Rh4
_symmetry_space_group_name_H-M 'P 1'
_symmetry_Int_Tables_number 1
_cell_length_a 6.992
_cell_length_b 5.757
_cell_length_c 6.856
_cell_angle_alpha 66.68
_cell_angle_beta 49.11
_cell_angle_gamma 64.21
loop_
_symmetry_equiv_pos_as_xyz
'x,y,z'
loop_
_atom_site_label
_atom_site_fract_x
_atom_site_fract_y
_atom_site_fract_z
Pm1 0.000 0.000 0.000
Ho1 0.573 0.573 0.427
Th1 0.223 0.223 0.277
Th2 0.723 0.723 0.777
Rh1 0.084 0.486 0.916
Rh2 0.237 0.698 0.302
Rh3 0.486 0.084 0.514
Rh4 0.698 0.237 0.763
```

Peak list (8 most intense, 5 to 70 degrees two-theta, by intensity)
d (Å), 2θ (°), I (rel.)
2.874, 31.12, 100
2.006, 45.21, 69
2.801, 31.95, 60
2.558, 35.08, 40
1.960, 46.32, 20
3.230, 27.62, 18
1.615, 57.03, 18
1.976, 45.92, 18

Entry 3:
This entry pairs a crystal structure of Pm3Ho5Ru2 with its calculated X-ray diffraction stick pattern. Radiation: Cu Kα, 1.54184 Å. Structure: the PBE geometry in Alexandria.

Atomic structure:
```
data_Pm3Ho5Ru2
_symmetry_space_group_name_H-M 'P 1'
_symmetry_Int_Tables_number 1
_cell_length_a 9.938
_cell_length_b 9.938
_cell_length_c 9.938
_cell_angle_alpha 104.94
_cell_angle_beta 88.55
_cell_angle_gamma 140.13
loop_
_symmetry_equiv_pos_as_xyz
'x,y,z'
loop_
_atom_site_label
_atom_site_fract_x
_atom_site_fract_y
_atom_site_fract_z
Pm1 0.179 0.238 0.417
Pm2 0.250 0.250 0.000
Pm3 0.321 0.738 0.060
Pm4 0.679 0.262 0.940
Pm5 0.750 0.750 0.000
Pm6 0.821 0.762 0.583
Ho1 0.025 0.750 0.275
Ho2 0.066 0.716 0.782
Ho3 0.250 0.750 0.500
Ho4 0.434 0.216 0.651
Ho5 0.475 0.750 0.725
Ho6 0.525 0.250 0.275
Ho7 0.566 0.784 0.349
Ho8 0.750 0.250 0.500
Ho9 0.934 0.284 0.218
Ho10 0.975 0.250 0.725
Ru1 0.160 0.894 0.055
Ru2 0.340 0.394 0.734
Ru3 0.660 0.606 0.266
Ru4 0.840 0.106 0.945
```

Peak list (8 most intense, 5 to 70 degrees two-theta, by intensity)
d (Å), 2θ (°), I (rel.)
2.957, 30.22, 100
2.483, 36.17, 43
3.069, 29.10, 41
3.049, 29.30, 40
3.027, 29.51, 35
2.454, 36.62, 27
1.734, 52.80, 20
2.274, 39.63, 19

Entry 4:
This entry pairs a crystal structure of Pm3HoRu with its calculated X-ray diffraction stick pattern. Radiation: Cu Kα, 1.54184 Å. Structure: the PBE geometry in Alexandria.

Atomic structure:
```
data_Pm3HoRu
_symmetry_space_group_name_H-M 'P 1'
_symmetry_Int_Tables_number 1
_cell_length_a 7.452
_cell_length_b 7.452
_cell_length_c 7.452
_cell_angle_alpha 101.29
_cell_angle_beta 119.39
_cell_angle_gamma 108.27
loop_
_symmetry_equiv_pos_as_xyz
'x,y,z'
loop_
_atom_site_label
_atom_site_fract_x
_atom_site_fract_y
_atom_site_fract_z
Pm1 0.233 0.503 0.230
Pm2 0.247 0.040 0.287
Pm3 0.247 0.460 0.708
Pm4 0.273 0.003 0.770
Pm5 0.753 0.540 0.292
Pm6 0.753 0.960 0.713
Ho1 0.720 0.997 0.223
Ho2 0.774 0.497 0.777
Ru1 0.243 0.750 0.993
Ru2 0.757 0.250 0.007
```

Peak list (8 most intense, 5 to 70 degrees two-theta, by intensity)
d (Å), 2θ (°), I (rel.)
2.849, 31.40, 100
3.207, 27.82, 61
2.942, 30.38, 46
1.819, 50.16, 35
2.906, 30.77, 27
2.183, 41.36, 25
1.753, 52.17, 20
2.363, 38.09, 20

Entry 5:
This entry pairs a crystal structure of Pm2Ho3Ru2 with its calculated X-ray diffraction stick pattern. Radiation: Cu Kα, 1.54184 Å. Structure: the PBE geometry in Alexandria.

Atomic structure:
```
data_Pm2Ho3Ru2
_symmetry_space_group_name_H-M 'P 1'
_symmetry_Int_Tables_number 1
_cell_length_a 6.336
_cell_length_b 6.336
_cell_length_c 8.777
_cell_angle_alpha 114.09
_cell_angle_beta 114.09
_cell_angle_gamma 35.48
loop_
_symmetry_equiv_pos_as_xyz
'x,y,z'
loop_
_atom_site_label
_atom_site_fract_x
_atom_site_fract_y
_atom_site_fract_z
Pm1 0.164 0.164 0.303
Pm2 0.836 0.836 0.697
Ho1 0.378 0.378 0.074
Ho2 0.500 0.500 0.500
Ho3 0.622 0.622 0.926
Ru1 0.177 0.177 0.731
Ru2 0.823 0.823 0.269
```

Peak list (8 most intense, 5 to 70 degrees two-theta, by intensity)
d (Å), 2θ (°), I (rel.)
2.785, 32.14, 100
2.509, 35.79, 80
2.703, 33.14, 68
2.609, 34.37, 66
2.896, 30.88, 59
2.302, 39.14, 55
2.920, 30.62, 54
1.931, 47.06, 54

Entry 6:
This entry pairs a crystal structure of PmHo3Ru3 with its calculated X-ray diffraction stick pattern. Radiation: Cu Kα, 1.54184 Å. Structure: the PBE geometry in Alexandria.

Atomic structure:
```
data_PmHo3Ru3
_symmetry_space_group_name_H-M 'P 1'
_symmetry_Int_Tables_number 1
_cell_length_a 5.863
_cell_length_b 5.863
_cell_length_c 5.863
_cell_angle_alpha 109.59
_cell_angle_beta 109.59
_cell_angle_gamma 109.59
loop_
_symmetry_equiv_pos_as_xyz
'x,y,z'
loop_
_atom_site_label
_atom_site_fract_x
_atom_site_fract_y
_atom_site_fract_z
Pm1 0.000 0.000 0.000
Ho1 0.413 0.413 0.828
Ho2 0.413 0.828 0.413
Ho3 0.828 0.413 0.413
Ru1 0.413 0.912 0.912
Ru2 0.912 0.413 0.912
Ru3 0.912 0.912 0.413
```

Peak list (8 most intense, 5 to 70 degrees two-theta, by intensity)
d (Å), 2θ (°), I (rel.)
2.385, 37.72, 100
2.395, 37.55, 100
2.763, 32.40, 82
2.750, 32.56, 27
1.594, 57.86, 26
3.380, 26.37, 23
1.690, 54.28, 21
1.443, 64.58, 18

Entry 7:
This entry pairs a crystal structure of PmHo3Ru8 with its calculated X-ray diffraction stick pattern. Radiation: Cu Kα, 1.54184 Å. Structure: the PBE geometry in Alexandria.

Atomic structure:
```
data_PmHo3Ru8
_symmetry_space_group_name_H-M 'P 1'
_symmetry_Int_Tables_number 1
_cell_length_a 9.295
_cell_length_b 9.295
_cell_length_c 9.295
_cell_angle_alpha 33.34
_cell_angle_beta 33.34
_cell_angle_gamma 33.34
loop_
_symmetry_equiv_pos_as_xyz
'x,y,z'
loop_
_atom_site_label
_atom_site_fract_x
_atom_site_fract_y
_atom_site_fract_z
Pm1 0.000 0.000 0.000
Ho1 0.125 0.125 0.125
Ho2 0.500 0.500 0.500
Ho3 0.625 0.625 0.625
Ru1 0.063 0.063 0.559
Ru2 0.063 0.559 0.063
Ru3 0.066 0.563 0.563
Ru4 0.313 0.313 0.313
Ru5 0.559 0.063 0.063
Ru6 0.563 0.066 0.563
Ru7 0.563 0.563 0.066
Ru8 0.813 0.813 0.813
```

Peak list (8 most intense, 5 to 70 degrees two-theta, by intensity)
d (Å), 2θ (°), I (rel.)
2.277, 39.58, 100
2.286, 39.42, 34
2.679, 33.45, 29
2.666, 33.62, 28
2.179, 41.45, 27
1.454, 64.02, 16
1.452, 64.12, 16
1.542, 60.01, 11

Entry 8:
This entry pairs a crystal structure of PmHo2Ru with its calculated X-ray diffraction stick pattern. Radiation: Cu Kα, 1.54184 Å. Structure: the PBE geometry in Alexandria.

Atomic structure:
```
data_PmHo2Ru
_symmetry_space_group_name_H-M 'P 1'
_symmetry_Int_Tables_number 1
_cell_length_a 7.324
_cell_length_b 9.226
_cell_length_c 6.379
_cell_angle_alpha 90.00
_cell_angle_beta 90.00
_cell_angle_gamma 90.00
loop_
_symmetry_equiv_pos_as_xyz
'x,y,z'
loop_
_atom_site_label
_atom_site_fract_x
_atom_site_fract_y
_atom_site_fract_z
Pm1 0.040 0.250 0.132
Pm2 0.460 0.750 0.632
Pm3 0.540 0.250 0.368
Pm4 0.960 0.750 0.868
Ho1 0.176 0.066 0.667
Ho2 0.176 0.434 0.667
Ho3 0.324 0.566 0.167
Ho4 0.324 0.934 0.167
Ho5 0.676 0.066 0.833
Ho6 0.676 0.434 0.833
Ho7 0.824 0.566 0.333
Ho8 0.824 0.934 0.333
Ru1 0.114 0.750 0.451
Ru2 0.386 0.250 0.951
Ru3 0.614 0.750 0.049
Ru4 0.886 0.250 0.549
```

Peak list (8 most intense, 5 to 70 degrees two-theta, by intensity)
d (Å), 2θ (°), I (rel.)
2.770, 32.32, 100
2.787, 32.11, 96
2.616, 34.28, 81
2.591, 34.62, 72
2.868, 31.19, 70
2.924, 30.57, 60
3.003, 29.75, 53
1.867, 48.77, 43

Entry 9:
This entry pairs a crystal structure of Pm2HoS4 with its calculated X-ray diffraction stick pattern. Radiation: Cu Kα, 1.54184 Å. Structure: the PBE geometry in Alexandria.

Atomic structure:
```
data_Pm2HoS4
_symmetry_space_group_name_H-M 'P 1'
_symmetry_Int_Tables_number 1
_cell_length_a 7.927
_cell_length_b 7.927
_cell_length_c 7.927
_cell_angle_alpha 119.88
_cell_angle_beta 118.95
_cell_angle_gamma 91.02
loop_
_symmetry_equiv_pos_as_xyz
'x,y,z'
loop_
_atom_site_label
_atom_site_fract_x
_atom_site_fract_y
_atom_site_fract_z
Pm1 0.000 0.000 0.000
Pm2 0.500 0.000 0.000
Pm3 0.500 0.000 0.500
Pm4 0.500 0.500 0.500
Ho1 0.000 0.000 0.500
Ho2 0.000 0.500 0.000
S1 0.238 0.746 0.492
S2 0.246 0.241 0.495
S3 0.246 0.254 0.992
S4 0.246 0.751 0.005
S5 0.754 0.249 0.995
S6 0.754 0.746 0.008
S7 0.754 0.759 0.505
S8 0.762 0.254 0.508
```

Peak list (8 most intense, 5 to 70 degrees two-theta, by intensity)
d (Å), 2θ (°), I (rel.)
2.827, 31.65, 100
1.982, 45.78, 87
2.778, 32.23, 48
6.460, 13.71, 46
3.260, 27.36, 42
3.230, 27.61, 41
5.555, 15.95, 20
3.417, 26.08, 19

Entry 10:
This entry pairs a crystal structure of Pm2Ho2S3 with its calculated X-ray diffraction stick pattern. Radiation: Cu Kα, 1.54184 Å. Structure: the PBE geometry in Alexandria.

Atomic structure:
```
data_Pm2Ho2S3
_symmetry_space_group_name_H-M 'P 1'
_symmetry_Int_Tables_number 1
_cell_length_a 3.881
_cell_length_b 6.756
_cell_length_c 6.852
_cell_angle_alpha 98.97
_cell_angle_beta 90.01
_cell_angle_gamma 106.64
loop_
_symmetry_equiv_pos_as_xyz
'x,y,z'
loop_
_atom_site_label
_atom_site_fract_x
_atom_site_fract_y
_atom_site_fract_z
Pm1 0.126 0.249 0.381
Pm2 0.874 0.751 0.619
Ho1 0.372 0.745 0.116
Ho2 0.628 0.255 0.884
S1 0.000 0.000 0.000
S2 0.249 0.499 0.761
S3 0.751 0.501 0.239
```

Peak list (8 most intense, 5 to 70 degrees two-theta, by intensity)
d (Å), 2θ (°), I (rel.)
3.192, 27.95, 100
2.751, 32.55, 87
2.805, 31.91, 46
3.212, 27.78, 34
1.968, 46.12, 32
1.960, 46.33, 32
1.596, 57.76, 25
1.661, 55.30, 21

Entry 11:
This entry pairs a crystal structure of Pm4HoS7 with its calculated X-ray diffraction stick pattern. Radiation: Cu Kα, 1.54184 Å. Structure: the PBE geometry in Alexandria.

Atomic structure:
```
data_Pm4HoS7
_symmetry_space_group_name_H-M 'P 1'
_symmetry_Int_Tables_number 1
_cell_length_a 6.869
_cell_length_b 6.869
_cell_length_c 11.817
_cell_angle_alpha 104.41
_cell_angle_beta 104.41
_cell_angle_gamma 33.02
loop_
_symmetry_equiv_pos_as_xyz
'x,y,z'
loop_
_atom_site_label
_atom_site_fract_x
_atom_site_fract_y
_atom_site_fract_z
Pm1 0.000 0.000 0.000
Pm2 0.189 0.189 0.767
Pm3 0.587 0.587 0.384
Pm4 0.888 0.888 0.574
Ho1 0.776 0.776 0.154
S1 0.155 0.155 0.223
S2 0.227 0.227 0.524
S3 0.385 0.385 0.080
S4 0.548 0.548 0.627
S5 0.631 0.631 0.933
S6 0.847 0.847 0.791
S7 0.928 0.928 0.356
```

Peak list (8 most intense, 5 to 70 degrees two-theta, by intensity)
d (Å), 2θ (°), I (rel.)
3.721, 23.91, 100
3.787, 23.49, 80
2.768, 32.34, 55
3.292, 27.08, 36
2.676, 33.49, 35
2.909, 30.74, 35
1.963, 46.25, 34
3.470, 25.67, 33

Entry 12:
This entry pairs a crystal structure of Pm3Ho4S8 with its calculated X-ray diffraction stick pattern. Radiation: Cu Kα, 1.54184 Å. Structure: the PBE geometry in Alexandria.

Atomic structure:
```
data_Pm3Ho4S8
_symmetry_space_group_name_H-M 'P 1'
_symmetry_Int_Tables_number 1
_cell_length_a 7.898
_cell_length_b 7.898
_cell_length_c 7.877
_cell_angle_alpha 119.88
_cell_angle_beta 119.88
_cell_angle_gamma 90.03
loop_
_symmetry_equiv_pos_as_xyz
'x,y,z'
loop_
_atom_site_label
_atom_site_fract_x
_atom_site_fract_y
_atom_site_fract_z
Pm1 0.000 0.000 0.000
Pm2 0.000 0.500 0.000
Pm3 0.500 0.000 0.000
Ho1 0.000 0.500 0.500
Ho2 0.500 0.000 0.500
Ho3 0.500 0.500 0.000
Ho4 0.500 0.500 0.500
S1 0.253 0.747 0.500
S2 0.254 0.746 0.000
S3 0.257 0.257 0.509
S4 0.258 0.258 0.007
S5 0.742 0.742 0.993
S6 0.743 0.743 0.491
S7 0.746 0.254 0.000
S8 0.747 0.253 0.500
```

Peak list (8 most intense, 5 to 70 degrees two-theta, by intensity)
d (Å), 2θ (°), I (rel.)
2.793, 32.04, 100
1.975, 45.95, 48
3.231, 27.60, 35
3.219, 27.71, 35
1.686, 54.41, 18
1.682, 54.55, 17
6.453, 13.72, 15
1.616, 57.00, 12

- Number 6 is which compound?
  PmHo3Ru3